Computed X-ray diffraction stick pattern of Li2P4WO13 for Cu Kα X-rays, from a GGA+U-relaxed structure.
Neutral-atom scattering factors, no anomalous dispersion.

Atomic structure:
```
data_Li2P4WO13
_space_group_name_H-M_alt 'P -1'
_space_group_IT_number 2
_cell_length_a 5.1853
_cell_length_b 8.0588
_cell_length_c 13.6782
_cell_angle_alpha 78.07
_cell_angle_beta 83.93
_cell_angle_gamma 80.00
loop_
_space_group_symop_operation_xyz
'x,y,z'
'-x,-y,-z'
loop_
_atom_site_label
_atom_site_fract_x
_atom_site_fract_y
_atom_site_fract_z
_atom_site_occupancy
Li1 0.0694 0.3172 0.0106 1
Li2 0.3766 0.3286 0.4822 1
P1 0.0098 0.9036 0.1439 1
P2 0.1192 0.7953 0.6338 1
P3 0.3060 0.6619 0.3010 1
P4 0.3359 0.5718 0.8194 1
W1 0.4450 0.0532 0.2589 1
O1 0.0493 0.7512 0.2466 1
O2 0.0898 0.8209 0.0557 1
O3 0.1296 0.6462 0.7374 1
O4 0.1626 0.0445 0.1582 1
O5 0.1825 0.1437 0.3694 1
O6 0.1937 0.5240 0.9190 1
O7 0.2441 0.7149 0.5481 1
O8 0.2495 0.5195 0.3831 1
O9 0.2500 0.9410 0.6537 1
O10 0.2889 0.0319 0.8455 1
O11 0.4350 0.8020 0.3303 1
O12 0.4687 0.3026 0.1870 1
O13 0.4946 0.3996 0.7888 1
```

The 6 most intense peaks (5 to 70 degrees two-theta), sorted by position:
- 11.4 deg, rel. 42, hkl 0 1 0
- 13.3 deg, rel. 100, hkl 0 0 2
- 19.1 deg, rel. 24, hkl 0 1 -2
- 21.2 deg, rel. 25, hkl 1 0 2
- 25.5 deg, rel. 22, hkl -1 1 2
- 27.1 deg, rel. 26, hkl 1 2 2